(1)
DyAl10Rh2: theoretical powder XRD pattern (Cu Kα (λ = 1.5418 Å)), based on a DFT-relaxed cell (GGA-PBE, Alexandria).
Kinematic intensities with the Lorentz-polarization factor, no thermal factor.

Top 12 peaks for 5° ≤ 2θ ≤ 70°, low angle first:
2θ 16.3, d = 5.451 Å, rel. 53
2θ 17.3, d = 5.131 Å, rel. 63
2θ 27.7, d = 3.217 Å, rel. 100
2θ 28.1, d = 3.181 Å, rel. 49
2θ 34.2, d = 2.623 Å, rel. 59
2θ 36.8, d = 2.445 Å, rel. 49
2θ 39.4, d = 2.290 Å, rel. 57
2θ 39.7, d = 2.269 Å, rel. 72
2θ 39.9, d = 2.261 Å, rel. 79
2θ 40.3, d = 2.238 Å, rel. 95
2θ 40.4, d = 2.231 Å, rel. 84
2θ 58.0, d = 1.590 Å, rel. 48

Cell and atoms:
```
26
Lattice="4.5209 -5.1305 0.0000 4.5209 5.1305 0.0000 0.0000 0.0000 9.1585" Properties=species:S:1:pos:R:3 pbc="T T T"
Dy 4.5209 3.8187 6.8689
Dy 4.5209 -3.8187 2.2896
Al 2.4761 1.3526 6.8689
Al 4.5209 3.5623 0.9316
Al 4.5209 3.5623 3.6476
Al 1.9966 0.0000 0.0000
Al 1.9966 0.0000 4.5793
Al 3.1853 1.3113 2.2896
Al 4.5209 1.2518 5.0517
Al 4.5209 1.2518 8.6861
Al 2.4761 -1.3526 2.2896
Al 3.1853 -1.3113 6.8689
Al 5.8565 1.3113 2.2896
Al 6.5658 1.3526 6.8689
Al 4.5209 -1.2518 0.4724
Al 4.5209 -1.2518 4.1069
Al 5.8565 -1.3113 6.8689
Al 7.0452 0.0000 0.0000
Al 7.0452 0.0000 4.5793
Al 4.5209 -3.5623 5.5109
Al 4.5209 -3.5623 8.2269
Al 6.5658 -1.3526 2.2896
Rh 2.2605 2.5653 0.0000
Rh 2.2605 2.5653 4.5793
Rh 2.2605 -2.5653 0.0000
Rh 2.2605 -2.5653 4.5793
```

***

(2)
CsBa2ScGe: theoretical powder XRD pattern (Cu Kα (λ = 1.5418 Å)), based on a DFT-relaxed cell (GGA-PBE, Alexandria).
Kinematic intensities with the Lorentz-polarization factor, no thermal factor.

Top 12 peaks for 5° ≤ 2θ ≤ 70°, low angle first:
2θ 13.9, d = 6.363 Å, rel. 21
2θ 16.4, d = 5.421 Å, rel. 50
2θ 21.5, d = 4.126 Å, rel. 37
2θ 25.7, d = 3.462 Å, rel. 61
2θ 28.0, d = 3.181 Å, rel. 100
2θ 32.6, d = 2.744 Å, rel. 38
2θ 33.1, d = 2.710 Å, rel. 32
2θ 35.6, d = 2.519 Å, rel. 21
2θ 40.1, d = 2.250 Å, rel. 38
2θ 43.9, d = 2.063 Å, rel. 58
2θ 48.2, d = 1.886 Å, rel. 21
2θ 52.9, d = 1.731 Å, rel. 33

Cell and atoms:
```
5
Lattice="6.3628 0.0000 0.0000 0.0000 6.3628 0.0000 0.0000 0.0000 5.4206" Properties=species:S:1:pos:R:3 pbc="T T T"
Cs 0.0000 0.0000 0.0000
Ba 0.0000 3.1814 0.0000
Ba 3.1814 0.0000 0.0000
Sc 0.0000 0.0000 2.7103
Ge 3.1814 3.1814 2.7103
```

***

(3)
Li2Mg2Cd5: theoretical powder XRD pattern (Cu Kα (λ = 1.5418 Å)), based on a DFT-relaxed cell (GGA-PBE, Alexandria).
Kinematic intensities with the Lorentz-polarization factor, no thermal factor.

Top 12 peaks for 5° ≤ 2θ ≤ 70°, low angle first:
2θ 10.6, d = 8.323 Å, rel. 62
2θ 19.7, d = 4.509 Å, rel. 20
2θ 21.6, d = 4.111 Å, rel. 23
2θ 23.0, d = 3.869 Å, rel. 46
2θ 31.6, d = 2.833 Å, rel. 100
2θ 36.1, d = 2.490 Å, rel. 27
2θ 37.1, d = 2.426 Å, rel. 74
2θ 38.1, d = 2.364 Å, rel. 86
2θ 39.6, d = 2.273 Å, rel. 53
2θ 50.5, d = 1.809 Å, rel. 23
2θ 61.3, d = 1.512 Å, rel. 20
2θ 61.5, d = 1.509 Å, rel. 28

Cell and atoms:
```
18
Lattice="-2.9858 8.3229 3.8688 2.9858 -8.3229 3.8688 2.9858 8.3229 -3.8688" Properties=species:S:1:pos:R:3 pbc="T T T"
Li 0.0000 0.5715 1.0916
Li 2.9858 0.5715 2.7772
Li 0.0000 7.7514 1.0916
Li 2.9858 7.7514 2.7772
Mg 2.9858 0.0000 0.0000
Mg 2.9858 4.1614 -0.4385
Mg 0.0000 0.0000 3.8688
Mg 0.0000 4.1614 4.3072
Cd 1.4929 6.5041 -1.9344
Cd 1.4929 -1.8188 1.9344
Cd 2.9858 -4.1614 3.5006
Cd 1.4929 10.9824 -1.9344
Cd 1.4929 2.6595 1.9344
Cd -1.4929 5.6634 1.9344
Cd 1.4929 5.6634 1.9344
Cd 0.0000 12.4843 0.3682
Cd -1.4929 10.1417 1.9344
Cd 1.4929 10.1417 1.9344
```

***

(4)
PmPr4Ag5: theoretical powder XRD pattern (Cu Kα (λ = 1.5418 Å)), based on a DFT-relaxed cell (GGA-PBE, Alexandria).
Kinematic intensities with the Lorentz-polarization factor, no thermal factor.

Top 9 peaks for 5° ≤ 2θ ≤ 70°, low angle first:
2θ 23.2, d = 3.837 Å, rel. 1
2θ 23.8, d = 3.742 Å, rel. 2
2θ 33.5, d = 2.679 Å, rel. 100
2θ 33.9, d = 2.646 Å, rel. 48
2θ 41.5, d = 2.178 Å, rel. 1
2θ 47.4, d = 1.918 Å, rel. 9
2θ 48.7, d = 1.871 Å, rel. 17
2θ 59.5, d = 1.553 Å, rel. 18
2θ 60.3, d = 1.534 Å, rel. 35

Cell and atoms:
```
10
Lattice="3.7418 0.0000 0.0000 0.0000 3.7418 0.0000 0.0000 0.0000 19.1834" Properties=species:S:1:pos:R:3 pbc="T T T"
Pm 0.0000 0.0000 0.0000
Pr 0.0000 0.0000 3.8006
Pr 0.0000 0.0000 7.6625
Pr 0.0000 0.0000 11.5209
Pr 0.0000 0.0000 15.3827
Ag 1.8709 1.8709 1.8391
Ag 1.8709 1.8709 5.7365
Ag 1.8709 1.8709 9.5917
Ag 1.8709 1.8709 13.4469
Ag 1.8709 1.8709 17.3443
```

***

(5)
Ca5CrH2N4: theoretical powder XRD pattern (Cu Kα (λ = 1.5418 Å)), based on a DFT-relaxed cell (GGA-PBE, Alexandria).
Kinematic intensities with the Lorentz-polarization factor, no thermal factor.

Top 12 peaks for 5° ≤ 2θ ≤ 70°, low angle first:
2θ 12.8, d = 6.890 Å, rel. 36
2θ 18.1, d = 4.902 Å, rel. 13
2θ 31.0, d = 2.882 Å, rel. 41
2θ 31.7, d = 2.819 Å, rel. 89
2θ 32.3, d = 2.770 Å, rel. 39
2θ 32.7, d = 2.735 Å, rel. 100
2θ 45.4, d = 1.997 Å, rel. 54
2θ 53.2, d = 1.723 Å, rel. 12
2θ 55.7, d = 1.652 Å, rel. 16
2θ 56.3, d = 1.634 Å, rel. 18
2θ 58.5, d = 1.577 Å, rel. 23
2θ 63.9, d = 1.457 Å, rel. 19

Cell and atoms:
```
12
Lattice="6.8901 0.0000 0.0000 0.0000 4.6599 2.8821 0.0000 -4.6599 2.8821" Properties=species:S:1:pos:R:3 pbc="T T T"
Ca 0.0000 0.0000 0.0000
Ca 1.8799 -1.6707 2.8541
Ca 1.8799 1.6707 2.8541
Ca 5.0102 -1.6707 2.8541
Ca 5.0102 1.6707 2.8541
Cr 3.4451 0.0000 0.0210
H 0.0000 -2.5871 1.6247
H 0.0000 2.5871 1.6247
N 2.0052 0.0000 1.1224
N 3.4451 -1.4646 4.7038
N 3.4451 1.4646 4.7038
N 4.8849 0.0000 1.1224
```

***

(6)
MgNi3Ir: theoretical powder XRD pattern (Cu Kα (λ = 1.5418 Å)), based on a DFT-relaxed cell (GGA-PBE, Alexandria).
Kinematic intensities with the Lorentz-polarization factor, no thermal factor.

Top 12 peaks for 5° ≤ 2θ ≤ 70°, low angle first:
2θ 18.6, d = 4.774 Å, rel. 80
2θ 19.3, d = 4.600 Å, rel. 14
2θ 24.2, d = 3.682 Å, rel. 58
2θ 38.9, d = 2.318 Å, rel. 21
2θ 39.2, d = 2.300 Å, rel. 17
2θ 40.9, d = 2.206 Å, rel. 100
2θ 41.9, d = 2.154 Å, rel. 59
2θ 44.7, d = 2.028 Å, rel. 27
2θ 47.1, d = 1.930 Å, rel. 21
2θ 47.9, d = 1.897 Å, rel. 21
2θ 48.7, d = 1.869 Å, rel. 22
2θ 49.6, d = 1.839 Å, rel. 24

Cell and atoms:
```
20
Lattice="5.7835 0.0000 0.0000 0.0000 6.1406 0.0000 0.0000 0.0000 7.5898" Properties=species:S:1:pos:R:3 pbc="T T T"
Mg 1.3987 0.7704 0.0000
Mg 1.4931 3.8407 3.7949
Mg 4.2905 2.2999 3.7949
Mg 4.3848 5.3702 0.0000
Ni 0.0000 3.0703 1.3574
Ni 0.0000 3.0703 6.2324
Ni 0.7593 5.2403 1.8274
Ni 0.7593 5.2403 5.7624
Ni 2.1325 2.1700 1.9675
Ni 2.1325 2.1700 5.6223
Ni 2.8918 0.0000 2.4375
Ni 2.8918 0.0000 5.1523
Ni 3.6510 3.9706 1.9675
Ni 3.6510 3.9706 5.6223
Ni 5.0243 0.9003 1.8274
Ni 5.0243 0.9003 5.7624
Ir 0.9747 0.8203 3.7949
Ir 1.9170 3.8906 0.0000
Ir 3.8665 2.2500 0.0000
Ir 4.8088 5.3203 3.7949
```

***

Q: Number 5 is which compound?
A: Ca5CrH2N4